Starting from a PBE+U-relaxed structure, the PXRD pattern of Ca5Dy3Ti5Mn3O24 was computed for a wavelength of 1.5418 Å.

Principal peaks in the range 2θ = 5–70°, most intense first:
h k l  d/Å  2θ/deg  Rel. int.
0 0 1  15.272  5.79  100
1 1 -4  2.727  32.85  66
2 0 0  2.692  33.29  21
1 1 4  2.714  33.00  21
0 2 0  2.808  31.87  18
3 1 -4  1.560  59.23  15
0 0 8  1.909  47.64  15
2 2 0  1.937  46.92  13

Structure:
a = 5.383 Å, b = 5.616 Å, c = 15.272 Å
α = 90.12°, β = 90.17°, γ = 90.36°
Space group P1 (No. 1)
Symmetry-distinct sites (fractional):
1 Ca 0.000 0.000 0.000 x1
2 Ca 0.000 0.007 0.505 x1
3 Ca 0.478 0.502 0.000 x1
4 Ca 0.498 0.404 0.249 x1
5 Ca 0.979 0.903 0.249 x1
6 Dy 0.473 0.518 0.506 x1
7 Dy 0.504 0.378 0.750 x1
8 Dy 0.967 0.878 0.751 x1
9 Ti 0.494 0.972 0.378 x1
10 Ti 0.501 0.948 0.125 x1
11 Ti 0.980 0.467 0.378 x1
12 Ti 0.995 0.445 0.877 x1
13 Ti 0.999 0.453 0.124 x1
14 Mn 0.481 0.943 0.876 x1
15 Mn 0.484 0.949 0.627 x1
16 Mn 0.990 0.445 0.626 x1
17 O 0.066 0.470 0.253 x1
18 O 0.096 0.481 0.751 x1
19 O 0.173 0.748 0.897 x1
20 O 0.190 0.736 0.105 x1
21 O 0.197 0.731 0.403 x1
22 O 0.199 0.756 0.602 x1
23 O 0.273 0.241 0.106 x1
24 O 0.283 0.266 0.896 x1
25 O 0.290 0.267 0.603 x1
26 O 0.293 0.245 0.404 x1
27 O 0.378 0.979 0.754 x1
28 O 0.404 0.971 0.253 x1
29 O 0.568 0.923 0.001 x1
30 O 0.579 0.915 0.499 x1
31 O 0.693 0.663 0.148 x1
32 O 0.694 0.650 0.357 x1
33 O 0.695 0.634 0.652 x1
34 O 0.699 0.637 0.843 x1
35 O 0.772 0.159 0.148 x1
36 O 0.777 0.136 0.657 x1
37 O 0.784 0.151 0.355 x1
38 O 0.789 0.152 0.847 x1
39 O 0.883 0.420 0.500 x1
40 O 0.900 0.422 0.001 x1

***

Starting from a PBE+U-relaxed structure, the PXRD pattern of MoP2PbO8 was computed for a wavelength of 1.5418 Å.

Principal peaks in the range 2θ = 5–70°, most intense first:
h k l  d/Å  2θ/deg  Rel. int.
4 0 0  3.528  25.25  100
0 4 0  3.631  24.52  96
4 4 0  2.530  35.48  46
2 2 1  3.742  23.78  44
2 2 -1  4.318  20.57  43
1 1 -3  2.193  41.16  32
1 1 0  10.121  8.74  30
0 2 1  4.854  18.28  26

Structure:
a = 14.417 Å, b = 14.524 Å, c = 6.668 Å
α = 90.00°, β = 101.82°, γ = 90.00°
Space group C2/c (No. 15)
Symmetry-distinct sites (fractional):
1 Mo 0.133 0.142 0.313 x8
2 P 0.112 0.096 0.803 x8
3 P 0.128 0.365 0.464 x8
4 Pb 0.124 0.386 0.958 x8
5 O 0.000 0.078 0.750 x4
6 O 0.000 0.132 0.250 x4
7 O 0.046 0.364 0.582 x8
8 O 0.123 0.286 0.305 x8
9 O 0.128 0.455 0.337 x8
10 O 0.138 0.154 0.998 x8
11 O 0.139 0.150 0.627 x8
12 O 0.156 0.001 0.830 x8
13 O 0.220 0.353 0.634 x8

***

Starting from a PBE+U-relaxed structure, the PXRD pattern of Li7Mn5O12 was computed for a wavelength of 1.5418 Å.

Principal peaks in the range 2θ = 5–70°, most intense first:
h k l  d/Å  2θ/deg  Rel. int.
1 0 1  4.846  18.31  100
1 2 5  2.195  41.13  34
2 1 -2  2.051  44.17  28
1 -3 1  2.045  44.29  28
0 2 4  2.623  34.18  16
3 3 3  1.494  62.13  16
1 1 -3  2.480  36.22  12
0 3 0  2.472  36.35  12

Structure:
a = 5.093 Å, b = 7.795 Å, c = 11.903 Å
α = 72.57°, β = 79.41°, γ = 82.71°
Space group P-1 (No. 2)
Symmetry-distinct sites (fractional):
1 Li 0.046 0.335 0.455 x2
2 Li 0.117 0.001 0.367 x2
3 Li 0.223 0.660 0.293 x2
4 Li 0.245 0.501 0.747 x2
5 Li 0.273 0.340 0.210 x2
6 Li 0.384 0.002 0.123 x2
7 Li 0.454 0.660 0.036 x2
8 Mn 0.000 0.500 0.000 x1
9 Mn 0.084 0.169 0.917 x2
10 Mn 0.167 0.826 0.829 x2
11 Mn 0.335 0.169 0.670 x2
12 Mn 0.410 0.828 0.584 x2
13 Mn 0.500 0.500 0.500 x1
14 O 0.007 0.076 0.765 x2
15 O 0.075 0.755 0.676 x2
16 O 0.090 0.587 0.128 x2
17 O 0.169 0.264 0.068 x2
18 O 0.174 0.405 0.601 x2
19 O 0.249 0.925 0.983 x2
20 O 0.264 0.085 0.534 x2
21 O 0.328 0.588 0.898 x2
22 O 0.335 0.738 0.429 x2
23 O 0.412 0.237 0.803 x2
24 O 0.415 0.415 0.373 x2
25 O 0.496 0.075 0.269 x2

***

Starting from a PBE+U-relaxed structure, the PXRD pattern of VFe3Cu2P6O24 was computed for a wavelength of 1.5418 Å.

Principal peaks in the range 2θ = 5–70°, most intense first:
h k l  d/Å  2θ/deg  Rel. int.
1 1 3  3.660  24.32  100
1 1 0  4.302  20.65  99
2 -1 6  2.707  33.09  81
3 0 0  2.484  36.17  43
3 -2 8  1.915  47.47  35
4 -2 6  1.830  49.82  30
4 1 0  1.626  56.61  27
5 -1 6  1.473  63.10  22

Structure:
a = 8.6039 Å, b = 8.6039 Å, c = 20.9030 Å
α = 90.00°, β = 90.00°, γ = 120.00°
Space group R3 (No. 146, hexagonal axes)
Symmetry-distinct sites (fractional):
1 V 0.0000 0.0000 0.0000 x3
2 Fe 0.0000 0.0000 0.2129 x3
3 Fe 0.0000 0.0000 0.5005 x3
4 Fe 0.0000 0.0000 0.7121 x3
5 Cu 0.0000 0.0000 0.3554 x3
6 Cu 0.0000 0.0000 0.8542 x3
7 P 0.9995 0.7059 0.6077 x9
8 P 0.0008 0.2936 0.1069 x9
9 O 0.0019 0.8044 0.6679 x9
10 O 0.0036 0.1966 0.1666 x9
11 O 0.0072 0.8046 0.5461 x9
12 O 0.0145 0.8331 0.2795 x9
13 O 0.0220 0.1871 0.7774 x9
14 O 0.1528 0.4836 0.7132 x9
15 O 0.1719 0.6837 0.6046 x9
16 O 0.1725 0.4783 0.0973 x9

***

Starting from a PBE+U-relaxed structure, the PXRD pattern of Li3TiV2O6 was computed for a wavelength of 1.5418 Å.

Principal peaks in the range 2θ = 5–70°, most intense first:
h k l  d/Å  2θ/deg  Rel. int.
0 1 -1  4.946  17.93  100
1 2 -1  2.104  42.98  60
0 0 3  2.130  42.43  31
-1 1 1  2.521  35.61  26
1 2 -4  1.504  61.67  25
1 2 2  1.491  62.29  16
0 1 2  2.556  35.10  14
1 -1 2  1.941  46.81  9

Structure:
a = 2.943 Å, b = 6.020 Å, c = 6.747 Å
α = 103.59°, β = 102.60°, γ = 90.01°
Space group P-1 (No. 2)
Symmetry-distinct sites (fractional):
1 Li 0.000 0.000 0.000 x1
2 Li 0.331 0.673 0.666 x2
3 Ti 0.000 0.500 0.000 x1
4 V 0.333 0.162 0.665 x2
5 O 0.156 0.586 0.313 x2
6 O 0.168 0.076 0.335 x2
7 O 0.499 0.269 0.998 x2

***

Starting from a PBE+U-relaxed structure, the PXRD pattern of Mn7PbO12 was computed for a wavelength of 1.5418 Å.

Principal peaks in the range 2θ = 5–70°, most intense first:
h k l  d/Å  2θ/deg  Rel. int.
2 2 0  2.676  33.48  100
4 2 2  1.545  59.86  48
1 1 0  5.352  16.56  34
4 0 0  1.892  48.08  25
3 2 1  2.023  44.80  21
3 1 0  2.394  37.58  19
2 1 1  3.090  28.89  18
4 1 3  1.484  62.57  9

Structure:
a = 7.569 Å, b = 7.569 Å, c = 7.569 Å
α = 90.00°, β = 90.00°, γ = 90.00°
Space group Im-3 (No. 204)
Symmetry-distinct sites (fractional):
1 Mn 0.000 0.000 0.500 x6
2 Mn 0.250 0.250 0.250 x8
3 Pb 0.000 0.000 0.000 x2
4 O 0.000 0.182 0.313 x24

***

Starting from a PBE+U-relaxed structure, the PXRD pattern of SrLiNiF6 was computed for a wavelength of 1.5418 Å.

Principal peaks in the range 2θ = 5–70°, most intense first:
h k l  d/Å  2θ/deg  Rel. int.
1 0 2  3.423  26.03  100
1 1 4  1.849  49.29  45
1 0 1  4.152  21.40  35
2 1 2  1.625  56.63  22
2 -1 2  2.337  38.52  21
2 0 2  2.076  43.59  20
1 1 0  2.612  34.33  17
3 0 0  1.508  61.50  15

Structure:
a = 5.2232 Å, b = 5.2232 Å, c = 10.4701 Å
α = 90.00°, β = 90.00°, γ = 120.00°
Space group P-31c (No. 163)
Symmetry-distinct sites (fractional):
1 Sr 0.0000 0.0000 0.0000 x2
2 Li 0.3333 0.6667 0.2500 x2
3 Ni 0.3333 0.6667 0.7500 x2
4 F 0.0199 0.3774 0.6457 x12

***

Starting from a PBE+U-relaxed structure, the PXRD pattern of Li9Mn2Co5O16 was computed for a wavelength of 1.5418 Å.

Principal peaks in the range 2θ = 5–70°, most intense first:
h k l  d/Å  2θ/deg  Rel. int.
0 0 2  4.818  18.41  100
1 2 -3  2.068  43.77  82
1 2 -1  2.489  36.08  27
1 2 5  1.473  63.14  15
3 2 -1  1.452  64.12  14
2 0 0  2.475  36.29  13
1 2 -5  1.597  57.74  10
1 2 3  1.907  47.70  9

Structure:
a = 5.019 Å, b = 5.854 Å, c = 9.770 Å
α = 90.00°, β = 99.45°, γ = 90.00°
Space group P2 (No. 3)
Symmetry-distinct sites (fractional):
1 Li 0.000 0.000 0.000 x1
2 Li 0.238 0.754 0.242 x2
3 Li 0.247 0.001 0.752 x2
4 Li 0.249 0.500 0.750 x2
5 Li 0.251 0.246 0.247 x2
6 Mn 0.000 0.749 0.500 x1
7 Mn 0.500 0.250 0.000 x1
8 Co 0.000 0.244 0.500 x1
9 Co 0.000 0.495 0.000 x1
10 Co 0.500 0.004 0.500 x1
11 Co 0.500 0.498 0.500 x1
12 Co 0.500 0.761 0.000 x1
13 O 0.109 0.988 0.381 x2
14 O 0.124 0.512 0.385 x2
15 O 0.137 0.726 0.894 x2
16 O 0.139 0.268 0.892 x2
17 O 0.356 0.490 0.111 x2
18 O 0.356 0.745 0.613 x2
19 O 0.365 0.260 0.616 x2
20 O 0.396 0.015 0.117 x2